Starting from the GGA-PBE geometry in Alexandria, the powder diffraction line list of La6SnP2Se3 was computed for Cu Kα, 1.54184 Å.
Lines closer than 0.1° are merged.

Crystal structure
a b c (Å): 19.0490 4.3584 8.7559
angles (deg): 90.00 103.34 90.00
Space group C2/m (No. 12)
One atom of each set of equivalent atoms:
La 0.0049 0.0000 0.2598
La 0.1700 0.5000 0.0977
La 0.1710 0.5000 0.5739
Sn 0.0000 0.5000 0.0000
P 0.1689 0.0000 0.3366
Se 0.0000 0.5000 0.5000
Se 0.1652 0.0000 0.8315

Main lines, low angle first (2θ = 15–90°):
2theta, I (rel.)
25.0, 19
28.9, 100
41.3, 37
41.4, 37
48.9, 6
51.1, 13
51.3, 13
59.9, 12
67.8, 22
68.0, 6
75.3, 8
75.5, 12

***

Starting from the GGA-PBE geometry in Alexandria, the powder diffraction line list of La8Te4P3Se was computed for Cu Kα, 1.54184 Å.
Lines closer than 0.1° are merged.

Crystal structure
a b c (Å): 8.7448 8.7448 22.3290
angles (deg): 90.00 90.00 120.00
Space group R-3m (No. 166, hexagonal axes)
One atom of each set of equivalent atoms:
La 0.0000 0.0000 0.2383
La 0.0086 0.5043 0.7607
Te 0.0000 0.0000 0.0000
Te 0.0000 0.5000 0.0000
P 0.0000 0.5000 0.5000
Se 0.0000 0.0000 0.5000

Main lines, low angle first (2θ = 15–90°):
2theta, I (rel.)
23.8, 10
24.8, 8
28.5, 100
31.0, 13
40.1, 34
41.3, 38
50.9, 19
56.1, 9
58.9, 11
65.9, 12
67.6, 16
74.5, 14

***

Starting from the GGA-PBE geometry in Alexandria, the powder diffraction line list of LaThPSe was computed for Cu Kα, 1.54184 Å.
Lines closer than 0.1° are merged.

Crystal structure
a b c (Å): 4.1036 4.1036 22.2963
angles (deg): 90.00 90.00 120.00
Space group R3m (No. 160, hexagonal axes)
One atom of each set of equivalent atoms:
La 0.0000 0.0000 0.0000
Th 0.0000 0.0000 0.1844
P 0.0000 0.0000 0.5917
Se 0.0000 0.0000 0.4276

Main lines, low angle first (2θ = 15–90°):
2theta, I (rel.)
23.9, 21
25.4, 68
26.3, 18
29.8, 58
32.2, 100
37.9, 32
44.1, 53
48.2, 17
50.8, 18
55.7, 21
68.1, 21
73.7, 19